Computed powder diffractogram of HoB4 for copper Kα, from DFT lattice parameters and positions (PBE).

Cell and atoms:
Unit cell a=7.0862 b=7.0862 c=4.0082 alpha=90.00 beta=90.00 gamma=90.00
Sites, in units of the cell vectors:
Ho 0.1823 0.3177 0.0000
Ho 0.3177 0.8177 0.0000
Ho 0.6823 0.1823 0.0000
Ho 0.8177 0.6823 0.0000
B 0.0000 0.0000 0.2027
B 0.0000 0.0000 0.7973
B 0.0385 0.8236 0.5000
B 0.0869 0.5869 0.5000
B 0.1764 0.0385 0.5000
B 0.3236 0.5385 0.5000
B 0.4131 0.0869 0.5000
B 0.4615 0.3236 0.5000
B 0.5000 0.5000 0.2027
B 0.5000 0.5000 0.7973
B 0.5385 0.6764 0.5000
B 0.5869 0.9131 0.5000
B 0.6764 0.4615 0.5000
B 0.8236 0.9615 0.5000
B 0.9131 0.4131 0.5000
B 0.9615 0.1764 0.5000

Main lines, in order of falling intensity (2θ = 10–80°):
index  2θ/deg  d_spacing  Rel. int.
2 1 1  36.13  2.486  100
2 1 0  28.16  3.169  78
0 0 1  22.18  4.008  59
2 0 1  33.76  2.655  54
2 0 0  25.13  3.543  39
4 1 1  58.43  1.580  35